# 1
Calculated PXRD pattern
Compound: Sm8Y6Tm
Radiation: Cu Kα (λ = 1.5418 Å)
Structure: a PBE-relaxed structure

Atomic structure:
```
Sm8Y6Tm
1.0
9.412 0.000 0.000
-4.706 8.151 0.000
0.000 0.000 6.552
Sm Y Tm
8 6 1
direct
0.036 0.753 0.166
0.247 0.283 0.166
0.283 0.036 0.834
0.333 0.667 0.124
0.667 0.333 0.876
0.717 0.964 0.166
0.753 0.717 0.834
0.964 0.247 0.834
0.092 0.656 0.660
0.344 0.437 0.660
0.437 0.092 0.340
0.563 0.908 0.660
0.656 0.563 0.340
0.908 0.344 0.340
0.000 0.000 0.500
```

Peak list (6 most intense, 15° ≤ 2θ ≤ 90°, in order of rising 2θ)
2θ = 25.74°, d = 3.461 Å, rel. 30; 2θ = 28.98°, d = 3.081 Å, rel. 21; 2θ = 29.38°, d = 3.040 Å, rel. 21; 2θ = 32.10°, d = 2.788 Å, rel. 100; 2θ = 32.97°, d = 2.717 Å, rel. 28; 2θ = 33.32°, d = 2.689 Å, rel. 53

# 2
Calculated PXRD pattern
Compound: Sm2Y7Tm2
Radiation: Cu Kα (λ = 1.5418 Å)
Structure: a PBE-relaxed structure

Atomic structure:
```
Sm2Y7Tm2
1.0
5.572 -5.820 0.000
5.572 5.820 0.000
-2.375 0.000 5.572
Sm Y Tm
2 7 2
direct
0.211 0.789 0.000
0.789 0.211 0.000
0.000 0.000 0.500
0.065 0.588 0.322
0.409 0.409 0.694
0.412 0.935 0.678
0.588 0.065 0.322
0.591 0.591 0.306
0.935 0.412 0.678
0.232 0.232 0.083
0.768 0.768 0.917
```

Peak list (6 most intense, 15° ≤ 2θ ≤ 90°, in order of rising 2θ)
2θ = 25.83°, d = 3.449 Å, rel. 23; 2θ = 30.73°, d = 2.909 Å, rel. 80; 2θ = 31.92°, d = 2.803 Å, rel. 100; 2θ = 32.22°, d = 2.779 Å, rel. 30; 2θ = 33.71°, d = 2.658 Å, rel. 37; 2θ = 33.91°, d = 2.644 Å, rel. 34